Diffraction record for Mn4Si4O13. The X-ray powder pattern is theoretical, not measured: it uses a crystal structure in Alexandria, relaxed with GGA+U and Cu Kα (weighted mean of Kα1 and Kα2).
No peak broadening, texture or thermal motion is included.

Peak list (10 most intense, 10 to 90 degrees two-theta, most intense first)
2θ/deg, I (rel.), (hkl)
23.47, 100.0, 0 2 0
25.79, 76.9, 2 0 2
28.77, 69.6, 0 0 3
29.73, 59.9, 2 0 -1
27.07, 56.5, 1 -2 1
47.99, 41.1, 0 4 0
18.07, 39.9, 1 0 -1
26.58, 34.3, 1 2 1
34.76, 29.0, 2 2 2
48.61, 24.2, 4 0 1

Crystal structure
a b c (Å): 7.5840 7.5844 9.9031
angles (deg): 88.61 70.07 89.21
Element x y z (fractional)
Mn: 0.0699 0.0037 0.1289
Mn: 0.0785 0.4965 0.1309
Mn: 0.2877 0.4890 0.4968
Mn: 0.2938 0.9821 0.4925
Mn: 0.7062 0.0179 0.5075
Mn: 0.7123 0.5110 0.5032
Mn: 0.9215 0.5035 0.8691
Mn: 0.9301 0.9963 0.8711
Si: 0.0718 0.2492 0.3384
Si: 0.3247 0.7467 0.2225
Si: 0.3919 0.5536 0.8109
Si: 0.3968 0.9573 0.8109
Si: 0.6032 0.0427 0.1891
Si: 0.6081 0.4464 0.1891
Si: 0.6753 0.2533 0.7775
Si: 0.9282 0.7508 0.6616
O: 0.0283 0.5525 0.6538
O: 0.0563 0.9315 0.6450
O: 0.1431 0.7452 0.1677
O: 0.1667 0.2515 0.1589
O: 0.1786 0.4998 0.9158
O: 0.1857 0.0169 0.9064
O: 0.2084 0.2359 0.4347
O: 0.2698 0.7463 0.3981
O: 0.4249 0.5322 0.6414
O: 0.4328 0.7533 0.8483
O: 0.4382 0.9295 0.1560
O: 0.4380 0.9887 0.6372
O: 0.4460 0.5697 0.1550
O: 0.5540 0.4303 0.8450
O: 0.5620 0.0113 0.3628
O: 0.5618 0.0705 0.8440
O: 0.5672 0.2467 0.1517
O: 0.5751 0.4678 0.3586
O: 0.7302 0.2537 0.6019
O: 0.7916 0.7641 0.5653
O: 0.8143 0.9831 0.0936
O: 0.8214 0.5002 0.0842
O: 0.8333 0.7485 0.8411
O: 0.8569 0.2548 0.8323
O: 0.9437 0.0685 0.3550
O: 0.9717 0.4475 0.3462